Computed powder diffractogram of AcNd6Sm12 for Cu Kα X-rays, from a DFT-relaxed cell (GGA-PBE, Alexandria).
Kinematic intensities with the Lorentz-polarization factor, no thermal factor.

Peak list (6 most intense, 2θ from 10° to 90°, low angle first)
- 2θ 29.04, 3.075 Å, I 58
- 2θ 30.69, 2.913 Å, I 70
- 2θ 30.98, 2.887 Å, I 64
- 2θ 31.10, 2.876 Å, I 100
- 2θ 33.45, 2.679 Å, I 47
- 2θ 33.71, 2.658 Å, I 37

Structural model:
Cell: 8.9450 8.9450 8.9450 Å, 99.32 99.32 99.32°
Fractional positions:
Ac 0.0000 0.0000 0.0000
Nd 0.1002 0.1002 0.6541
Nd 0.1002 0.6541 0.1002
Nd 0.3459 0.8998 0.8998
Nd 0.6541 0.1002 0.1002
Nd 0.8998 0.3459 0.8998
Nd 0.8998 0.8998 0.3459
Sm 0.0811 0.3557 0.3557
Sm 0.2410 0.5000 0.7590
Sm 0.2410 0.7590 0.5000
Sm 0.3557 0.0811 0.3557
Sm 0.3557 0.3557 0.0811
Sm 0.5000 0.2410 0.7590
Sm 0.5000 0.7590 0.2410
Sm 0.6443 0.6443 0.9189
Sm 0.6443 0.9189 0.6443
Sm 0.7590 0.2410 0.5000
Sm 0.7590 0.5000 0.2410
Sm 0.9189 0.6443 0.6443

=====

Computed powder diffractogram of Ac4Nd2Sm3 for Cu Kα X-rays, from a DFT-relaxed cell (GGA-PBE, Alexandria).
Kinematic intensities with the Lorentz-polarization factor, no thermal factor.

Peak list (6 most intense, 2θ from 10° to 90°, low angle first)
- 2θ 28.72, 3.108 Å, I 100
- 2θ 28.80, 3.100 Å, I 33
- 2θ 33.01, 2.713 Å, I 47
- 2θ 33.89, 2.645 Å, I 22
- 2θ 47.38, 1.919 Å, I 17
- 2θ 56.32, 1.633 Å, I 31

Structural model:
Cell: 5.4329 6.5230 11.3845 Å, 74.34 89.98 65.47°
Fractional positions:
Ac 0.0039 0.4920 0.3336
Ac 0.3337 0.8326 0.1113
Ac 0.6663 0.1674 0.8887
Ac 0.9961 0.5080 0.6664
Nd 0.3290 0.8419 0.7727
Nd 0.6710 0.1581 0.2273
Sm 0.0000 0.5000 0.0000
Sm 0.3350 0.8300 0.4487
Sm 0.6650 0.1700 0.5513